(1)
Ac8Pr2Nd3: calculated XRD peak list (λ = 1.5418 Å (Cu Kα)), based on a PBE-relaxed structure.

Most intense lines, 2θ from 10° to 90°, by angle:
2θ/deg  intensity
23.7  33
28.9  86
29.2  100
29.7  89
30.1  38
30.7  83
32.1  35
49.0  32

Cell and atoms:
Cell: 9.388 9.388 7.288 Å, 97.71 97.71 63.51°
Positions (direct):
Ac: 0.068 0.697 0.076
Ac: 0.090 0.090 0.377
Ac: 0.303 0.932 0.924
Ac: 0.304 0.304 0.687
Ac: 0.696 0.696 0.313
Ac: 0.697 0.068 0.076
Ac: 0.910 0.910 0.623
Ac: 0.932 0.303 0.924
Pr: 0.305 0.305 0.206
Pr: 0.695 0.695 0.794
Nd: 0.339 0.661 0.500
Nd: 0.500 0.500 0.000
Nd: 0.661 0.339 0.500



(2)
Pa2GeAs: calculated XRD peak list (λ = 1.5418 Å (Cu Kα)), based on a PBE-relaxed structure.

Most intense lines, 2θ from 10° to 90°, by angle:
2θ/deg  intensity
26.5  46
30.7  100
44.0  63
52.1  18
54.6  20
72.6  18
72.7  17
80.8  15

Cell and atoms:
Cell: 9.210 9.210 7.118 Å, 104.88 104.88 127.01°
Positions (direct):
Pa: 0.062 0.437 0.750
Pa: 0.188 0.313 0.250
Pa: 0.313 0.188 0.750
Pa: 0.437 0.062 0.250
Pa: 0.563 0.938 0.750
Pa: 0.687 0.812 0.250
Pa: 0.812 0.687 0.750
Pa: 0.938 0.563 0.250
Ge: 0.062 0.938 0.250
Ge: 0.312 0.688 0.250
Ge: 0.688 0.312 0.750
Ge: 0.938 0.062 0.750
As: 0.187 0.813 0.750
As: 0.438 0.562 0.750
As: 0.562 0.438 0.250
As: 0.813 0.187 0.250



(3)
Ho5SiTe5: calculated XRD peak list (λ = 1.5418 Å (Cu Kα)), based on a PBE-relaxed structure.

Most intense lines, 2θ from 10° to 90°, by angle:
2θ/deg  intensity
29.4  100
29.5  48
42.0  55
42.2  55
52.1  19
52.3  19
69.2  16
76.9  17

Cell and atoms:
Cell: 7.460 7.460 8.565 Å, 107.02 107.02 48.03°
Positions (direct):
Ho: 0.000 0.000 0.000
Ho: 0.344 0.344 0.159
Ho: 0.345 0.345 0.684
Ho: 0.655 0.655 0.316
Ho: 0.656 0.656 0.841
Si: 0.500 0.500 0.000
Te: 0.164 0.164 0.825
Te: 0.172 0.172 0.336
Te: 0.500 0.500 0.500
Te: 0.828 0.828 0.664
Te: 0.836 0.836 0.175



(4)
KLi2MnSe: calculated XRD peak list (λ = 1.5418 Å (Cu Kα)), based on a PBE-relaxed structure.

Most intense lines, 2θ from 10° to 90°, by angle:
2θ/deg  intensity
17.3  74
24.5  100
25.1  28
35.0  48
36.5  22
39.3  18
44.5  38
51.4  30

Cell and atoms:
Cell: 5.130 5.130 4.928 Å, 90.00 90.00 90.00°
Positions (direct):
K: 0.000 0.000 0.000
Li: 0.000 0.500 0.500
Li: 0.500 0.000 0.500
Mn: 0.500 0.500 0.000
Se: 0.500 0.500 0.500



(5)
LiHoZrZn: calculated XRD peak list (λ = 1.5418 Å (Cu Kα)), based on a PBE-relaxed structure.

Most intense lines, 2θ from 10° to 90°, by angle:
2θ/deg  intensity
22.3  20
25.8  37
36.7  100
53.0  17
59.8  14
66.2  35
78.2  11
89.6  16

Cell and atoms:
Cell: 4.891 4.891 4.891 Å, 60.00 60.00 60.00°
Positions (direct):
Li: 0.000 0.000 0.000
Ho: 0.250 0.250 0.250
Zr: 0.750 0.750 0.750
Zn: 0.500 0.500 0.500



(6)
Na2Li3H6Pd: calculated XRD peak list (λ = 1.5418 Å (Cu Kα)), based on a PBE-relaxed structure.

Most intense lines, 2θ from 10° to 90°, by angle:
2θ/deg  intensity
17.5  100
19.4  35
20.4  51
21.6  41
26.2  25
34.6  37
35.4  69
42.4  32

Cell and atoms:
Cell: 5.313 5.313 5.552 Å, 101.98 101.98 118.72°
Positions (direct):
Na: 0.161 0.839 0.000
Na: 0.839 0.161 0.000
Li: 0.000 0.000 0.500
Li: 0.364 0.636 0.500
Li: 0.636 0.364 0.500
H: 0.169 0.433 0.770
H: 0.233 0.233 0.312
H: 0.433 0.169 0.770
H: 0.567 0.831 0.230
H: 0.767 0.767 0.688
H: 0.831 0.567 0.230
Pd: 0.500 0.500 0.000



(7)
TbDy2Ho6Er: calculated XRD peak list (λ = 1.5418 Å (Cu Kα)), based on a PBE-relaxed structure.

Most intense lines, 2θ from 10° to 90°, by angle:
2θ/deg  intensity
28.4  15
28.9  37
31.0  100
31.7  45
31.9  97
32.7  19
34.2  47
57.2  18

Cell and atoms:
Cell: 8.696 8.696 9.488 Å, 94.02 94.02 117.99°
Positions (direct):
Tb: 0.023 0.977 0.750
Tb: 0.977 0.023 0.250
Dy: 0.197 0.302 0.544
Dy: 0.302 0.197 0.044
Dy: 0.698 0.803 0.956
Dy: 0.803 0.698 0.456
Ho: 0.019 0.570 0.685
Ho: 0.125 0.750 0.056
Ho: 0.250 0.875 0.444
Ho: 0.291 0.504 0.880
Ho: 0.430 0.981 0.815
Ho: 0.496 0.709 0.620
Ho: 0.504 0.291 0.380
Ho: 0.570 0.019 0.185
Ho: 0.709 0.496 0.120
Ho: 0.750 0.125 0.556
Ho: 0.875 0.250 0.944
Ho: 0.981 0.430 0.315
Er: 0.409 0.591 0.250
Er: 0.591 0.409 0.750



(8)
AcTb5Tm3: calculated XRD peak list (λ = 1.5418 Å (Cu Kα)), based on a PBE-relaxed structure.

Most intense lines, 2θ from 10° to 90°, by angle:
2θ/deg  intensity
31.2  45
31.4  97
31.5  100
31.9  51
55.8  23
56.1  19
56.6  27
62.1  29

Cell and atoms:
Cell: 9.052 9.052 8.984 Å, 114.49 114.49 66.26°
Positions (direct):
Ac: 0.098 0.902 0.750
Ac: 0.902 0.098 0.250
Tb: 0.065 0.267 0.074
Tb: 0.253 0.398 0.903
Tb: 0.267 0.065 0.574
Tb: 0.398 0.253 0.403
Tb: 0.437 0.563 0.750
Tb: 0.563 0.437 0.250
Tb: 0.602 0.747 0.597
Tb: 0.733 0.935 0.426
Tb: 0.747 0.602 0.097
Tb: 0.935 0.733 0.926
Tm: 0.000 0.500 0.500
Tm: 0.172 0.658 0.331
Tm: 0.342 0.828 0.169
Tm: 0.500 0.000 0.000
Tm: 0.658 0.172 0.831
Tm: 0.828 0.342 0.669



(9)
Na2La4Hg: calculated XRD peak list (λ = 1.5418 Å (Cu Kα)), based on a PBE-relaxed structure.

Most intense lines, 2θ from 10° to 90°, by angle:
2θ/deg  intensity
10.2  73
15.7  100
29.9  54
30.0  86
31.0  32
42.9  41
43.0  32
43.7  51

Cell and atoms:
Cell: 9.621 9.621 9.621 Å, 143.94 143.94 51.91°
Positions (direct):
Na: 0.124 0.124 0.000
Na: 0.876 0.876 0.000
La: 0.000 0.500 0.500
La: 0.322 0.322 0.000
La: 0.500 0.000 0.500
La: 0.678 0.678 0.000
Hg: 0.500 0.500 0.000



(10)
LiTa2Pd7: calculated XRD peak list (λ = 1.5418 Å (Cu Kα)), based on a PBE-relaxed structure.

Most intense lines, 2θ from 10° to 90°, by angle:
2θ/deg  intensity
13.5  40
20.6  100
25.0  33
28.5  34
37.4  33
41.8  43
42.4  95
44.1  46

Cell and atoms:
Cell: 7.442 7.442 4.322 Å, 90.00 90.00 122.83°
Positions (direct):
Li: 0.000 0.000 0.000
Ta: 0.298 0.702 0.500
Ta: 0.702 0.298 0.500
Pd: 0.078 0.296 0.500
Pd: 0.201 0.799 0.000
Pd: 0.296 0.078 0.500
Pd: 0.500 0.500 0.500
Pd: 0.704 0.922 0.500
Pd: 0.799 0.201 0.000
Pd: 0.922 0.704 0.500



(11)
NdDy2TmTh: calculated XRD peak list (λ = 1.5418 Å (Cu Kα)), based on a PBE-relaxed structure.

Most intense lines, 2θ from 10° to 90°, by angle:
2θ/deg  intensity
20.5  18
31.6  100
31.8  40
32.7  20
34.9  26
36.5  24
56.5  20
61.8  20

Cell and atoms:
Cell: 3.534 5.632 8.680 Å, 90.00 90.08 90.00°
Positions (direct):
Nd: 0.000 0.000 0.000
Dy: 0.001 0.500 0.322
Dy: 0.999 0.500 0.678
Tm: 0.500 0.000 0.500
Th: 0.500 0.500 0.000



(12)
K4CdH6: calculated XRD peak list (λ = 1.5418 Å (Cu Kα)), based on a PBE-relaxed structure.

Most intense lines, 2θ from 10° to 90°, by angle:
2θ/deg  intensity
15.1  89
16.2  38
24.3  32
25.6  37
27.6  71
29.9  100
30.5  54
38.0  34

Cell and atoms:
Cell: 7.360 7.360 12.953 Å, 111.97 111.97 56.28°
Positions (direct):
K: 0.070 0.474 0.854
K: 0.127 0.873 0.500
K: 0.314 0.578 0.193
K: 0.474 0.070 0.354
K: 0.532 0.789 0.013
K: 0.578 0.314 0.693
K: 0.789 0.532 0.513
K: 0.873 0.127 0.000
Cd: 0.487 0.947 0.759
Cd: 0.947 0.487 0.259
H: 0.077 0.494 0.413
H: 0.184 0.287 0.182
H: 0.214 0.732 0.018
H: 0.287 0.184 0.682
H: 0.374 0.754 0.707
H: 0.410 0.796 0.397
H: 0.494 0.077 0.913
H: 0.732 0.214 0.518
H: 0.754 0.374 0.207
H: 0.768 0.821 0.732
H: 0.796 0.410 0.897
H: 0.821 0.768 0.232



> Number 11 is which compound?

NdDy2TmTh



> Which formula does entry 10 have?

LiTa2Pd7